(1)
Structure and simulated PXRD pattern of YbY2Se4 (a structure optimized by DFT (GGA-PBE); CuKα).

Crystal structure
```
data_YbY2Se4
_symmetry_space_group_name_H-M 'P 1 2/m 1'
_symmetry_Int_Tables_number 10
_cell_length_a 7.0570
_cell_length_b 4.1260
_cell_length_c 7.1489
_cell_angle_alpha 90.00
_cell_angle_beta 108.14
_cell_angle_gamma 90.00
loop_
_symmetry_equiv_pos_as_xyz
'x,y,z'
'-x,-y,-z'
'-x,y,-z'
'x,-y,z'
loop_
_atom_site_label
_atom_site_fract_x
_atom_site_fract_y
_atom_site_fract_z
Yb1 0.0000 0.0000 0.0000
Y1 0.0000 0.5000 0.5000
Y2 0.5000 0.0000 0.5000
Se1 0.2427 0.0000 0.7361
Se2 0.2561 0.5000 0.2528
```

Largest 12 diffraction maxima, sorted by position, 10 to 90 degrees two-theta:
| two_theta | Rel. int. |
| --- | --- |
| 13.20 | 23 |
| 15.41 | 16 |
| 25.25 | 9 |
| 30.49 | 100 |
| 31.10 | 48 |
| 43.43 | 18 |
| 43.89 | 54 |
| 44.33 | 35 |
| 53.99 | 10 |
| 54.76 | 28 |
| 63.45 | 12 |
| 80.66 | 15 |

=====

(2)
Structure and simulated PXRD pattern of Li8AcAg4 (a structure optimized by DFT (GGA-PBE); CuKα).

Crystal structure
```
data_Li8AcAg4
_symmetry_space_group_name_H-M 'I 4/m m m'
_symmetry_Int_Tables_number 139
_symmetry_space_group_name_Hall '-I 4 2'
_cell_length_a 9.4325
_cell_length_b 9.4325
_cell_length_c 5.7040
_cell_angle_alpha 90.00
_cell_angle_beta 90.00
_cell_angle_gamma 90.00
loop_
_atom_site_label
_atom_site_fract_x
_atom_site_fract_y
_atom_site_fract_z
Li1 0.0000 0.2301 0.0000
Li2 0.0000 0.3541 0.5000
Ac1 0.0000 0.0000 0.5000
Ag1 0.2500 0.2500 0.2500
```

Largest 12 diffraction maxima, sorted by position, 10 to 90 degrees two-theta:
| two_theta | Rel. int. |
| --- | --- |
| 13.27 | 51 |
| 18.18 | 53 |
| 18.82 | 29 |
| 26.28 | 48 |
| 26.73 | 100 |
| 29.96 | 17 |
| 36.83 | 95 |
| 37.83 | 22 |
| 38.16 | 45 |
| 54.08 | 57 |
| 62.25 | 19 |
| 80.84 | 18 |

=====

(3)
Structure and simulated PXRD pattern of Nd3Pb4 (a structure optimized by DFT (GGA-PBE); CuKα).

Crystal structure
```
data_Nd3Pb4
_symmetry_space_group_name_H-M 'C m c m'
_symmetry_Int_Tables_number 63
_symmetry_space_group_name_Hall '-C 2c 2'
_cell_length_a 4.5783
_cell_length_b 11.9410
_cell_length_c 16.2694
_cell_angle_alpha 90.00
_cell_angle_beta 90.00
_cell_angle_gamma 90.00
loop_
_atom_site_label
_atom_site_fract_x
_atom_site_fract_y
_atom_site_fract_z
Nd1 0.0000 0.0655 0.2500
Nd2 0.0000 0.3357 0.0974
Pb1 0.0000 0.0000 0.0000
Pb2 0.0000 0.1995 0.7500
Pb3 0.0000 0.3733 0.6086
```

Largest 12 diffraction maxima, sorted by position, 10 to 90 degrees two-theta:
| two_theta | Rel. int. |
| --- | --- |
| 29.74 | 39 |
| 30.33 | 100 |
| 30.44 | 18 |
| 31.76 | 34 |
| 33.03 | 13 |
| 34.12 | 29 |
| 37.21 | 16 |
| 37.37 | 27 |
| 39.36 | 40 |
| 55.39 | 18 |
| 65.21 | 20 |
| 68.07 | 16 |

=====

Repeat the second record exactly.
Structure and simulated PXRD pattern of Li8AcAg4 (a structure optimized by DFT (GGA-PBE); CuKα).

Crystal structure
```
data_Li8AcAg4
_symmetry_space_group_name_H-M 'I 4/m m m'
_symmetry_Int_Tables_number 139
_symmetry_space_group_name_Hall '-I 4 2'
_cell_length_a 9.4325
_cell_length_b 9.4325
_cell_length_c 5.7040
_cell_angle_alpha 90.00
_cell_angle_beta 90.00
_cell_angle_gamma 90.00
loop_
_atom_site_label
_atom_site_fract_x
_atom_site_fract_y
_atom_site_fract_z
Li1 0.0000 0.2301 0.0000
Li2 0.0000 0.3541 0.5000
Ac1 0.0000 0.0000 0.5000
Ag1 0.2500 0.2500 0.2500
```

Largest 12 diffraction maxima, sorted by position, 10 to 90 degrees two-theta:
| two_theta | Rel. int. |
| --- | --- |
| 13.27 | 51 |
| 18.18 | 53 |
| 18.82 | 29 |
| 26.28 | 48 |
| 26.73 | 100 |
| 29.96 | 17 |
| 36.83 | 95 |
| 37.83 | 22 |
| 38.16 | 45 |
| 54.08 | 57 |
| 62.25 | 19 |
| 80.84 | 18 |